Record 1
# Ta4BeRu5
Calculated PXRD pattern, Cu Kα, 1.54184 Å. Input: a structure optimized by DFT (PBE).
No peak broadening, texture or thermal motion is included.

Most intense lines, 2θ = 15–90°, by intensity:
- 40.84 deg, I 100
- 41.18 deg, I 59
- 74.82 deg, I 33
- 36.90 deg, I 26
- 59.65 deg, I 20
- 68.61 deg, I 13

Structural model:
```
10
Lattice="3.100 0.000 0.000 0.000 3.100 0.000 0.000 0.000 15.754" Properties=species:S:1:pos:R:3 pbc="T T T"
Ta 0.000 0.000 1.679
Ta 0.000 0.000 5.040
Ta 0.000 0.000 10.713
Ta 0.000 0.000 14.075
Be 0.000 0.000 7.877
Ru 1.550 1.550 0.000
Ru 1.550 1.550 3.372
Ru 1.550 1.550 6.527
Ru 1.550 1.550 9.227
Ru 1.550 1.550 12.381
```

=====

Record 2
# Al2VOs2
Calculated PXRD pattern, Cu Kα, 1.54184 Å. Input: a structure optimized by DFT (PBE).
No peak broadening, texture or thermal motion is included.

Most intense lines, 2θ = 15–90°, by intensity:
- 43.52 deg, I 100
- 40.50 deg, I 46
- 31.15 deg, I 28
- 20.54 deg, I 23
- 36.37 deg, I 22
- 29.68 deg, I 19

Structural model:
```
5
Lattice="1.456 -8.647 0.000 1.456 8.647 0.000 0.000 0.000 3.010" Properties=species:S:1:pos:R:3 pbc="T T T"
Al 1.456 5.551 0.000
Al 1.456 -5.551 0.000
V 0.000 0.000 0.000
Os 1.456 1.531 1.505
Os 1.456 -1.531 1.505
```

=====

Record 3
# Pr5Sn2H
Calculated PXRD pattern, Cu Kα, 1.54184 Å. Input: a structure optimized by DFT (PBE).
No peak broadening, texture or thermal motion is included.

Most intense lines, 2θ = 15–90°, by intensity:
- 31.60 deg, I 100
- 35.25 deg, I 38
- 60.98 deg, I 31
- 53.81 deg, I 22
- 39.31 deg, I 14
- 50.70 deg, I 13

Structural model:
```
8
Lattice="-3.601 3.601 4.584 3.601 -3.601 4.584 3.601 3.601 -4.584" Properties=species:S:1:pos:R:3 pbc="T T T"
Pr 0.000 0.000 0.000
Pr 1.796 1.796 2.256
Pr 1.805 -1.805 6.840
Pr -1.805 1.805 6.840
Pr 1.805 1.805 6.840
Sn 3.601 0.000 4.556
Sn 0.000 3.601 4.556
H 0.000 0.000 2.386
```

=====

Record 4
# Sm5ScTl4
Calculated PXRD pattern, Cu Kα, 1.54184 Å. Input: a structure optimized by DFT (PBE).
No peak broadening, texture or thermal motion is included.

Most intense lines, 2θ = 15–90°, by intensity:
- 32.10 deg, I 100
- 34.18 deg, I 42
- 59.89 deg, I 34
- 55.87 deg, I 21
- 49.12 deg, I 15
- 67.15 deg, I 12

Structural model:
```
10
Lattice="3.710 0.000 0.000 0.000 3.710 0.000 0.000 0.000 21.134" Properties=species:S:1:pos:R:3 pbc="T T T"
Sm 0.000 0.000 0.000
Sm 0.000 0.000 4.220
Sm 0.000 0.000 8.395
Sm 0.000 0.000 12.739
Sm 0.000 0.000 16.915
Sc 1.855 1.855 10.567
Tl 1.855 1.855 2.114
Tl 1.855 1.855 6.322
Tl 1.855 1.855 14.813
Tl 1.855 1.855 19.021
```